The following is a computed X-ray powder pattern of Cs6RbI8. It was derived from a DFT-relaxed cell (PBE, Alexandria), using copper Kα.

Cell and atoms:
a b c (Å): 11.4730 11.4730 7.7878
angles (deg): 90.00 90.00 120.00
Space group P-3 (No. 147)
One atom of each set of equivalent atoms:
Cs1 0.0010 0.6304 0.2813
Rb1 0.0000 0.0000 0.0000
I1 0.0007 0.7099 0.7851
I2 0.3333 0.6667 0.5017

Largest 12 diffraction maxima, sorted by position, 15° ≤ 2θ ≤ 90°:
| 2θ/deg | I_rel |
| --- | --- |
| 15.4 | 21 |
| 22.8 | 22 |
| 26.3 | 52 |
| 26.9 | 100 |
| 27.7 | 91 |
| 34.5 | 26 |
| 35.6 | 25 |
| 39.0 | 27 |
| 48.0 | 21 |
| 50.0 | 20 |
| 52.6 | 17 |
| 54.7 | 15 |